# Ti2GeBiO8
Simulated XRD peak list, Cu Kα. Input: a cell relaxed with GGA-PBE.

Peak list (10 most intense, 10° ≤ 2θ ≤ 90°, by intensity)
two_theta  I_rel
34.28  1000
26.46  720
27.01  656
18.82  612
51.91  466
52.54  418
23.58  399
39.58  285
66.50  272
38.17  267

Cell and atoms:
Cell lengths 4.7170, 4.7170, 6.2888 Å; angles 90.03, 90.03, 88.85 degrees
Sites, in units of the cell vectors:
Ti 0.0152 0.0152 0.2331
Ti 0.9848 0.9848 0.7669
Ge 0.5000 0.5000 0.0000
Bi 0.5000 0.5000 0.5000
O 0.1725 0.1725 0.4942
O 0.1968 0.1968 0.0031
O 0.2996 0.7003 0.2151
O 0.2997 0.7004 0.7849
O 0.7003 0.2996 0.2151
O 0.7004 0.2997 0.7849
O 0.8032 0.8032 0.9969
O 0.8275 0.8275 0.5058



# Zn5Pt6Au
Simulated XRD peak list, Cu Kα. Input: a cell relaxed with GGA-PBE.

Peak list (10 most intense, 10° ≤ 2θ ≤ 90°, by intensity)
two_theta  I_rel
40.00  1000
44.02  198
44.95  182
78.22  141
79.54  130
64.74  126
31.05  123
50.40  118
86.32  100
24.59  100

Cell and atoms:
Cell lengths 7.3446, 7.3446, 7.3446 Å; angles 147.47, 120.92, 69.08 degrees
Sites, in units of the cell vectors:
Zn 0.0000 0.0000 0.0000
Zn 0.1736 0.6736 0.5000
Zn 0.3419 0.3419 0.0000
Zn 0.6581 0.6581 0.0000
Zn 0.8264 0.3264 0.5000
Pt 0.0652 0.8299 0.2354
Pt 0.2286 0.5000 0.7286
Pt 0.4055 0.1701 0.2354
Pt 0.5945 0.8299 0.7646
Pt 0.7714 0.5000 0.2714
Pt 0.9348 0.1701 0.7646
Au 0.5000 0.0000 0.5000



# Sm7Ga2Pb2
Simulated XRD peak list, Cu Kα. Input: a cell relaxed with GGA-PBE.

Peak list (10 most intense, 10° ≤ 2θ ≤ 90°, by intensity)
two_theta  I_rel
36.16  1000
31.31  704
27.52  543
24.66  511
35.51  400
26.62  358
28.72  347
40.26  248
58.93  211
35.64  194

Cell and atoms:
Cell lengths 7.0516, 7.0516, 7.4076 Å; angles 90.00, 90.00, 108.23 degrees
Sites, in units of the cell vectors:
Sm 0.0000 0.0000 0.0000
Sm 0.0000 0.5000 0.2763
Sm 0.0000 0.5000 0.7237
Sm 0.5000 0.0000 0.2763
Sm 0.5000 0.0000 0.7237
Sm 0.5000 0.5000 0.2378
Sm 0.5000 0.5000 0.7622
Ga 0.2823 0.7177 0.0000
Ga 0.7177 0.2823 0.0000
Pb 0.1841 0.1841 0.5000
Pb 0.8159 0.8159 0.5000



# CsPuCrCl6
Simulated XRD peak list, Cu Kα. Input: a cell relaxed with GGA-PBE.

Peak list (10 most intense, 10° ≤ 2θ ≤ 90°, by intensity)
two_theta  I_rel
18.80  1000
34.91  530
11.42  299
41.83  272
32.23  234
25.94  223
45.75  162
37.98  154
28.42  148
14.89  147

Cell and atoms:
Cell lengths 6.8701, 6.8701, 7.7491 Å; angles 90.00, 90.00, 120.00 degrees
Sites, in units of the cell vectors:
Cs 0.0000 0.0000 0.0000
Pu 0.6667 0.3333 0.5000
Cr 0.3333 0.6667 0.5000
Cl 0.0282 0.3852 0.6883
Cl 0.0282 0.6430 0.3117
Cl 0.3570 0.3852 0.3117
Cl 0.3570 0.9718 0.6883
Cl 0.6148 0.6430 0.6883
Cl 0.6148 0.9718 0.3117



# Cd3Cu2
Simulated XRD peak list, Cu Kα. Input: a cell relaxed with GGA-PBE.

Peak list (10 most intense, 10° ≤ 2θ ≤ 90°, by intensity)
two_theta  I_rel
39.02  1000
39.60  717
35.99  416
36.80  398
41.93  286
45.99  265
28.00  226
66.42  182
31.37  176
70.39  171

Cell and atoms:
Cell lengths 7.1516, 5.9352, 8.5881 Å; angles 55.44, 43.11, 81.45 degrees
Sites, in units of the cell vectors:
Cd 0.0000 0.0000 0.0000
Cd 0.2500 0.2500 0.2500
Cd 0.4724 0.5454 0.3167
Cd 0.5454 0.4724 0.6656
Cd 0.5844 0.9333 0.7046
Cd 0.9333 0.5844 0.7776
Cu 0.1644 0.7967 0.2528
Cu 0.4638 0.9972 0.4533
Cu 0.7967 0.1644 0.7862
Cu 0.9972 0.4638 0.0856



# RbScZnI6
Simulated XRD peak list, Cu Kα. Input: a cell relaxed with GGA-PBE.

Peak list (10 most intense, 10° ≤ 2θ ≤ 90°, by intensity)
two_theta  I_rel
26.10  1000
32.16  721
41.81  281
10.62  275
17.33  240
40.45  202
53.73  198
50.12  167
38.30  140
21.33  126

Cell and atoms:
Cell lengths 7.4842, 7.4842, 8.3316 Å; angles 90.00, 90.00, 120.00 degrees
Sites, in units of the cell vectors:
Rb 0.0000 0.0000 0.0000
Sc 0.3333 0.6667 0.5000
Zn 0.6667 0.3333 0.5000
I 0.3714 0.0023 0.6993
I 0.3714 0.3691 0.3007
I 0.6309 0.0023 0.3007
I 0.6309 0.6286 0.6993
I 0.9977 0.3691 0.6993
I 0.9977 0.6286 0.3007



# CdHg2Te3
Simulated XRD peak list, Cu Kα. Input: a cell relaxed with GGA-PBE.

Peak list (10 most intense, 10° ≤ 2θ ≤ 90°, by intensity)
two_theta  I_rel
23.22  1000
38.37  801
45.32  429
69.38  280
60.85  214
74.27  160
55.38  138
86.82  124
82.18  89
45.35  85

Cell and atoms:
Cell lengths 8.1264, 8.1264, 8.1307 Å; angles 99.62, 99.62, 120.00 degrees
Sites, in units of the cell vectors:
Cd 0.0832 0.9168 0.5000
Cd 0.9168 0.0832 0.0000
Hg 0.2482 0.7494 0.9988
Hg 0.4174 0.5835 0.4998
Hg 0.5835 0.4174 0.9998
Hg 0.7494 0.2482 0.4988
Te 0.0418 0.2070 0.3737
Te 0.2070 0.0418 0.8737
Te 0.3731 0.8740 0.3744
Te 0.5418 0.7094 0.8752
Te 0.7094 0.5418 0.3752
Te 0.8740 0.3731 0.8744



Number 2 is which compound?
Zn5Pt6Au